For LiV2OF5, a DFT-relaxed cell (PBE+U, Alexandria) gives the simulated XRD peak list in this record (Cu Kα (λ = 1.5418 Å)).
Lines closer than 0.1° are merged.

```
data_LiV2OF5
_chemical_formula_sum 'Li3 V6 O3 F15'
_cell_length_a 4.5880
_cell_length_b 8.7103
_cell_length_c 8.7252
_cell_angle_alpha 60.16
_cell_angle_beta 89.12
_cell_angle_gamma 88.31
_symmetry_space_group_name_H-M 'P 1'
_symmetry_Int_Tables_number 1
loop_
_symmetry_equiv_pos_as_xyz
'x,y,z'
loop_
_atom_site_label
_atom_site_fract_x
_atom_site_fract_y
_atom_site_fract_z
_atom_site_occupancy
Li1 0.0000 0.0000 0.0000 1
Li2 0.0073 0.6696 0.6670 1
Li3 0.4897 0.3380 0.3333 1
V1 0.0068 0.3218 0.6639 1
V2 0.0091 0.0025 0.3420 1
V3 0.0094 0.6393 0.0251 1
V4 0.4830 0.9959 0.6903 1
V5 0.4836 0.6869 0.3454 1
V6 0.4850 0.3400 0.9975 1
O1 0.2292 0.1136 0.7678 1
O2 0.2399 0.7963 0.4350 1
O3 0.2615 0.4455 0.1017 1
F1 0.2299 0.7717 0.7960 1
F2 0.2305 0.1203 0.1093 1
F3 0.2393 0.7712 0.1244 1
F4 0.2420 0.4416 0.7716 1
F5 0.2555 0.4545 0.4446 1
F6 0.2676 0.1062 0.4557 1
F7 0.7288 0.2212 0.5594 1
F8 0.7297 0.5667 0.2265 1
F9 0.7364 0.2215 0.2227 1
F10 0.7490 0.2297 0.8830 1
F11 0.7522 0.9020 0.2260 1
F12 0.7537 0.8739 0.8994 1
F13 0.7573 0.8981 0.5636 1
F14 0.7622 0.5470 0.8939 1
F15 0.7627 0.5573 0.5499 1
```

Peak list (12 most intense, 2θ from 5° to 70°, low angle first)
- 20.36 deg, intensity 100
- 27.84 deg, intensity 48
- 28.01 deg, intensity 91
- 28.44 deg, intensity 72
- 28.69 deg, intensity 54
- 40.45 deg, intensity 41
- 40.82 deg, intensity 41
- 41.37 deg, intensity 40
- 53.37 deg, intensity 42
- 54.04 deg, intensity 39
- 54.86 deg, intensity 36
- 64.21 deg, intensity 25

---

For LiV4OF11, a DFT-relaxed cell (PBE+U, Alexandria) gives the simulated XRD peak list in this record (Cu Kα (λ = 1.5418 Å)).
Lines closer than 0.1° are merged.

```
data_LiV4OF11
_chemical_formula_sum 'Li2 V8 O2 F22'
_cell_length_a 5.2492
_cell_length_b 5.4853
_cell_length_c 17.3670
_cell_angle_alpha 84.38
_cell_angle_beta 81.36
_cell_angle_gamma 61.56
_symmetry_space_group_name_H-M 'P 1'
_symmetry_Int_Tables_number 1
loop_
_symmetry_equiv_pos_as_xyz
'x,y,z'
loop_
_atom_site_label
_atom_site_fract_x
_atom_site_fract_y
_atom_site_fract_z
_atom_site_occupancy
Li1 0.1271 0.4395 0.3203 1
Li2 0.8729 0.5605 0.6797 1
V1 0.0000 0.5000 0.5000 1
V2 0.1228 0.6366 0.1240 1
V3 0.2717 0.7261 0.7497 1
V4 0.3784 0.8467 0.3710 1
V5 0.5000 0.0000 0.0000 1
V6 0.6216 0.1533 0.6290 1
V7 0.7283 0.2739 0.2503 1
V8 0.8772 0.3634 0.8760 1
O1 0.4346 0.5607 0.3114 1
O2 0.5654 0.4393 0.6886 1
F1 0.0229 0.8894 0.6634 1
F2 0.0306 0.5147 0.7796 1
F3 0.0377 0.9549 0.1848 1
F4 0.2011 0.3551 0.5973 1
F5 0.2041 0.3143 0.0635 1
F6 0.2185 0.7078 0.4671 1
F7 0.2699 0.1644 0.9096 1
F8 0.2828 0.7902 0.0323 1
F9 0.2884 0.1865 0.4358 1
F10 0.4841 0.5819 0.8434 1
F11 0.4965 0.9439 0.7124 1
F12 0.5035 0.0561 0.2876 1
F13 0.5159 0.4181 0.1566 1
F14 0.7116 0.8135 0.5642 1
F15 0.7172 0.2098 0.9677 1
F16 0.7301 0.8356 0.0904 1
F17 0.7815 0.2922 0.5329 1
F18 0.7959 0.6857 0.9365 1
F19 0.7989 0.6449 0.4027 1
F20 0.9623 0.0451 0.8152 1
F21 0.9694 0.4853 0.2204 1
F22 0.9771 0.1106 0.3366 1
```

Peak list (12 most intense, 2θ from 5° to 70°, low angle first)
- 23.40 deg, intensity 100
- 23.77 deg, intensity 49
- 32.48 deg, intensity 10
- 32.71 deg, intensity 19
- 39.54 deg, intensity 21
- 40.01 deg, intensity 12
- 47.85 deg, intensity 20
- 48.66 deg, intensity 9
- 52.79 deg, intensity 22
- 52.96 deg, intensity 7
- 53.41 deg, intensity 7
- 61.36 deg, intensity 12

---

For Li3V4O3F9, a DFT-relaxed cell (PBE+U, Alexandria) gives the simulated XRD peak list in this record (Cu Kα (λ = 1.5418 Å)).
Lines closer than 0.1° are merged.

```
data_Li3V4O3F9
_chemical_formula_sum 'Li3 V4 O3 F9'
_cell_length_a 5.2478
_cell_length_b 5.4991
_cell_length_c 8.8937
_cell_angle_alpha 74.82
_cell_angle_beta 89.55
_cell_angle_gamma 62.30
_symmetry_space_group_name_H-M 'P 1'
_symmetry_Int_Tables_number 1
loop_
_symmetry_equiv_pos_as_xyz
'x,y,z'
loop_
_atom_site_label
_atom_site_fract_x
_atom_site_fract_y
_atom_site_fract_z
_atom_site_occupancy
Li1 0.0000 0.0000 0.0000 1
Li2 0.1125 0.7273 0.6987 1
Li3 0.3944 0.2228 0.4532 1
V1 0.0551 0.8531 0.3516 1
V2 0.3086 0.3680 0.1080 1
V3 0.5850 0.8570 0.8482 1
V4 0.8163 0.3140 0.6048 1
O1 0.2586 0.6223 0.2194 1
O2 0.7803 0.0722 0.7984 1
O3 0.8171 0.0776 0.4848 1
F1 0.2596 0.0956 0.3002 1
F2 0.2709 0.0757 0.6540 1
F3 0.3102 0.1027 0.9753 1
F4 0.3577 0.6255 0.9033 1
F5 0.3678 0.5696 0.5482 1
F6 0.7410 0.1146 0.1543 1
F7 0.8328 0.5811 0.7299 1
F8 0.8801 0.5749 0.0349 1
F9 0.8881 0.5826 0.4276 1
```

Peak list (12 most intense, 2θ from 5° to 70°, low angle first)
- 23.16 deg, intensity 99
- 23.59 deg, intensity 92
- 23.87 deg, intensity 100
- 32.35 deg, intensity 58
- 32.70 deg, intensity 26
- 39.48 deg, intensity 17
- 39.72 deg, intensity 18
- 40.14 deg, intensity 29
- 47.33 deg, intensity 22
- 48.85 deg, intensity 19
- 52.31 deg, intensity 19
- 52.98 deg, intensity 31

---

For Li7VO5F, a DFT-relaxed cell (PBE+U, Alexandria) gives the simulated XRD peak list in this record (Cu Kα (λ = 1.5418 Å)).
Lines closer than 0.1° are merged.

```
data_Li7VO5F
_chemical_formula_sum 'Li14 V2 O10 F2'
_cell_length_a 5.5931
_cell_length_b 6.0015
_cell_length_c 9.3785
_cell_angle_alpha 94.08
_cell_angle_beta 103.08
_cell_angle_gamma 116.06
_symmetry_space_group_name_H-M 'P 1'
_symmetry_Int_Tables_number 1
loop_
_symmetry_equiv_pos_as_xyz
'x,y,z'
loop_
_atom_site_label
_atom_site_fract_x
_atom_site_fract_y
_atom_site_fract_z
_atom_site_occupancy
Li1 0.0057 0.0577 0.2318 1
Li2 0.0148 0.5060 0.3174 1
Li3 0.1438 0.3504 0.9052 1
Li4 0.2530 0.8456 0.9892 1
Li5 0.2771 0.3848 0.5308 1
Li6 0.3883 0.2345 0.1324 1
Li7 0.4574 0.9002 0.6074 1
Li8 0.5426 0.0998 0.3926 1
Li9 0.6117 0.7655 0.8676 1
Li10 0.7229 0.6152 0.4692 1
Li11 0.7470 0.1543 0.0108 1
Li12 0.8562 0.6496 0.0948 1
Li13 0.9852 0.4940 0.6826 1
Li14 0.9943 0.9423 0.7682 1
V1 0.4445 0.6861 0.2225 1
V2 0.5555 0.3139 0.7775 1
O1 0.1205 0.3837 0.1321 1
O2 0.2470 0.9114 0.1951 1
O3 0.3141 0.4716 0.7386 1
O4 0.3827 0.1661 0.9210 1
O5 0.4338 0.7128 0.4221 1
O6 0.5662 0.2872 0.5779 1
O7 0.6173 0.8339 0.0790 1
O8 0.6859 0.5284 0.2614 1
O9 0.7530 0.0886 0.8049 1
O10 0.8795 0.6163 0.8679 1
F1 0.0730 0.8012 0.6090 1
F2 0.9270 0.1988 0.3910 1
```

Peak list (12 most intense, 2θ from 5° to 70°, low angle first)
- 17.74 deg, intensity 44
- 18.44 deg, intensity 51
- 19.78 deg, intensity 100
- 21.11 deg, intensity 42
- 21.71 deg, intensity 57
- 22.91 deg, intensity 38
- 28.51 deg, intensity 20
- 34.72 deg, intensity 51
- 36.89 deg, intensity 51
- 39.18 deg, intensity 27
- 48.87 deg, intensity 21
- 51.66 deg, intensity 28

---

For Li3V2O4F2, a DFT-relaxed cell (PBE+U, Alexandria) gives the simulated XRD peak list in this record (Cu Kα (λ = 1.5418 Å)).
Lines closer than 0.1° are merged.

```
data_Li3V2O4F2
_chemical_formula_sum 'Li12 V8 O16 F8'
_cell_length_a 5.9790
_cell_length_b 5.9790
_cell_length_c 15.3384
_cell_angle_alpha 102.38
_cell_angle_beta 102.38
_cell_angle_gamma 60.99
_symmetry_space_group_name_H-M 'P 1'
_symmetry_Int_Tables_number 1
loop_
_symmetry_equiv_pos_as_xyz
'x,y,z'
loop_
_atom_site_label
_atom_site_fract_x
_atom_site_fract_y
_atom_site_fract_z
_atom_site_occupancy
Li1 0.0000 0.0000 0.0000 1
Li2 0.0040 0.0040 0.4921 1
Li3 0.0122 0.5027 0.4911 1
Li4 0.1266 0.1266 0.8578 1
Li5 0.1532 0.6297 0.8675 1
Li6 0.3805 0.3805 0.1147 1
Li7 0.3861 0.8560 0.1194 1
Li8 0.5027 0.0122 0.4911 1
Li9 0.5413 0.9550 0.9904 1
Li10 0.6297 0.1532 0.8675 1
Li11 0.8560 0.3861 0.1194 1
Li12 0.9550 0.5413 0.9904 1
V1 0.1134 0.1134 0.3194 1
V2 0.1173 0.6176 0.3276 1
V3 0.3926 0.8938 0.6550 1
V4 0.3994 0.3994 0.6601 1
V5 0.6144 0.6144 0.3263 1
V6 0.6176 0.1173 0.3276 1
V7 0.8938 0.3926 0.6550 1
V8 0.8948 0.8948 0.6613 1
O1 0.0780 0.0780 0.7227 1
O2 0.0923 0.5843 0.7248 1
O3 0.1866 0.7026 0.5848 1
O4 0.2062 0.2062 0.5813 1
O5 0.3040 0.3040 0.3961 1
O6 0.3038 0.8282 0.3987 1
O7 0.4198 0.9218 0.2580 1
O8 0.4379 0.4379 0.2606 1
O9 0.5756 0.5756 0.7192 1
O10 0.5843 0.0923 0.7248 1
O11 0.7026 0.1866 0.5848 1
O12 0.7130 0.7130 0.5863 1
O13 0.8003 0.8003 0.4026 1
O14 0.8282 0.3038 0.3987 1
O15 0.9218 0.4198 0.2580 1
O16 0.9252 0.9252 0.2642 1
F1 0.1858 0.6913 0.0707 1
F2 0.1919 0.1919 0.0839 1
F3 0.2935 0.8459 0.9169 1
F4 0.3058 0.3058 0.9002 1
F5 0.6913 0.1858 0.0707 1
F6 0.6963 0.6963 0.0745 1
F7 0.8232 0.8232 0.9128 1
F8 0.8459 0.2935 0.9169 1
```

Peak list (12 most intense, 2θ from 5° to 70°, low angle first)
- 5.95 deg, intensity 100
- 11.91 deg, intensity 21
- 17.91 deg, intensity 62
- 23.96 deg, intensity 9
- 30.08 deg, intensity 7
- 35.16 deg, intensity 13
- 35.96 deg, intensity 15
- 39.75 deg, intensity 27
- 40.92 deg, intensity 12
- 43.25 deg, intensity 11
- 52.04 deg, intensity 7
- 62.12 deg, intensity 11

---

For LiV4OF11, a DFT-relaxed cell (PBE+U, Alexandria) gives the simulated XRD peak list in this record (Cu Kα (λ = 1.5418 Å)).
Lines closer than 0.1° are merged.

```
data_LiV4OF11
_chemical_formula_sum 'Li1 V4 O1 F11'
_cell_length_a 5.5213
_cell_length_b 5.2624
_cell_length_c 7.4879
_cell_angle_alpha 90.00
_cell_angle_beta 94.44
_cell_angle_gamma 90.00
_symmetry_space_group_name_H-M 'P 1'
_symmetry_Int_Tables_number 1
loop_
_symmetry_equiv_pos_as_xyz
'x,y,z'
loop_
_atom_site_label
_atom_site_fract_x
_atom_site_fract_y
_atom_site_fract_z
_atom_site_occupancy
Li1 0.0000 0.0000 0.0000 1
V1 0.0025 0.5244 0.2404 1
V2 0.4960 0.0154 0.7465 1
V3 0.5040 0.0154 0.2535 1
V4 0.9975 0.5244 0.7596 1
O1 0.0000 0.6293 0.0000 1
F1 0.0000 0.4221 0.5000 1
F2 0.1869 0.8411 0.7003 1
F3 0.1897 0.1934 0.1819 1
F4 0.3007 0.3146 0.8061 1
F5 0.3111 0.7141 0.3103 1
F6 0.5000 0.1394 0.5000 1
F7 0.5000 0.9021 0.0000 1
F8 0.6889 0.7141 0.6897 1
F9 0.6993 0.3146 0.1939 1
F10 0.8103 0.1934 0.8181 1
F11 0.8131 0.8411 0.2997 1
```

Peak list (12 most intense, 2θ from 5° to 70°, low angle first)
- 23.39 deg, intensity 100
- 23.84 deg, intensity 49
- 32.53 deg, intensity 10
- 32.70 deg, intensity 21
- 39.44 deg, intensity 14
- 39.66 deg, intensity 13
- 40.08 deg, intensity 13
- 47.82 deg, intensity 21
- 48.79 deg, intensity 9
- 52.84 deg, intensity 29
- 53.52 deg, intensity 14
- 61.30 deg, intensity 13